# BaScCu2I8
Simulated powder X-ray diffraction pattern, CuKα. Input: DFT lattice parameters and positions (GGA-PBE).

Largest 12 diffraction maxima, by angle, 10° ≤ 2θ ≤ 90°:
23.11 deg, rel. 39.2
23.45 deg, rel. 46.3
25.00 deg, rel. 29.2
26.42 deg, rel. 95.9
27.84 deg, rel. 18.4
28.15 deg, rel. 100.0
30.13 deg, rel. 38.7
35.97 deg, rel. 27.4
41.50 deg, rel. 38.9
41.91 deg, rel. 47.8
44.16 deg, rel. 26.9
45.38 deg, rel. 18.1

Cell and atoms:
Cell: 11.866 8.204 9.988 Å, 90.00 90.84 90.00°
Space group C2/m (No. 12)
Symmetry-distinct sites (fractional):
1 Ba 0.000 0.000 0.000 (multiplicity 2)
2 Sc 0.000 0.000 0.500 (multiplicity 2)
3 Cu 0.146 0.500 0.272 (multiplicity 4)
4 I 0.000 0.249 0.291 (multiplicity 8)
5 I 0.208 0.500 0.029 (multiplicity 4)
6 I 0.241 0.000 0.507 (multiplicity 4)